Computed PXRD pattern of CaCe2AlS6 for Cu Kα (λ = 1.5418 Å), from DFT lattice parameters and positions (PBE).
No peak broadening, texture or thermal motion is included.

Crystal structure
```
data_CaCe2AlS6
_symmetry_space_group_name_H-M 'P 1'
_symmetry_Int_Tables_number 1
_cell_length_a 6.4353
_cell_length_b 6.4353
_cell_length_c 6.2348
_cell_angle_alpha 90.00
_cell_angle_beta 90.00
_cell_angle_gamma 90.00
loop_
_symmetry_equiv_pos_as_xyz
'x,y,z'
loop_
_atom_site_label
_atom_site_type_symbol
_atom_site_fract_x
_atom_site_fract_y
_atom_site_fract_z
_atom_site_occupancy
Ca1 Ca 0.0000 0.0000 0.0000 1
Ce1 Ce 0.0000 0.5000 0.4394 1
Ce2 Ce 0.5000 0.0000 0.4394 1
Al1 Al 0.5000 0.5000 0.0356 1
S1 S 0.0000 0.0000 0.5740 1
S2 S 0.2641 0.2641 0.1850 1
S3 S 0.2641 0.7359 0.1850 1
S4 S 0.5000 0.5000 0.6720 1
S5 S 0.7359 0.2641 0.1850 1
S6 S 0.7359 0.7359 0.1850 1
```

Principal peaks in the range 2θ from 10° to 80°, in order of rising 2θ:
| two_theta | I_rel |
| --- | --- |
| 14.2 | 60 |
| 24.2 | 100 |
| 27.7 | 28 |
| 31.3 | 45 |
| 34.9 | 33 |
| 39.6 | 39 |
| 40.3 | 46 |
| 47.0 | 33 |

Computed PXRD pattern of Ac6Sn3H2 for Cu Kα (λ = 1.5418 Å), from DFT lattice parameters and positions (PBE).
No peak broadening, texture or thermal motion is included.

Crystal structure
```
data_Ac6Sn3H2
_symmetry_space_group_name_H-M 'P 1'
_symmetry_Int_Tables_number 1
_cell_length_a 13.9717
_cell_length_b 13.9717
_cell_length_c 13.9717
_cell_angle_alpha 158.60
_cell_angle_beta 158.60
_cell_angle_gamma 30.44
loop_
_symmetry_equiv_pos_as_xyz
'x,y,z'
loop_
_atom_site_label
_atom_site_type_symbol
_atom_site_fract_x
_atom_site_fract_y
_atom_site_fract_z
_atom_site_occupancy
Ac1 Ac 0.0818 0.5818 0.5000 1
Ac2 Ac 0.2012 0.2012 0.0000 1
Ac3 Ac 0.4182 0.9182 0.5000 1
Ac4 Ac 0.5818 0.0818 0.5000 1
Ac5 Ac 0.7988 0.7988 0.0000 1
Ac6 Ac 0.9182 0.4182 0.5000 1
Sn1 Sn 0.3272 0.3272 0.0000 1
Sn2 Sn 0.5000 0.5000 0.0000 1
Sn3 Sn 0.6728 0.6728 0.0000 1
H1 H 0.1006 0.1006 0.0000 1
H2 H 0.8994 0.8994 0.0000 1
```

Principal peaks in the range 2θ from 10° to 80°, in order of rising 2θ:
| two_theta | I_rel |
| --- | --- |
| 25.2 | 66 |
| 27.7 | 26 |
| 28.9 | 21 |
| 31.5 | 100 |
| 34.6 | 64 |
| 44.1 | 18 |
| 49.7 | 25 |
| 60.0 | 33 |

Computed PXRD pattern of ZnIn4Si for Cu Kα (λ = 1.5418 Å), from DFT lattice parameters and positions (PBE).
No peak broadening, texture or thermal motion is included.

Crystal structure
```
data_ZnIn4Si
_symmetry_space_group_name_H-M 'P 1'
_symmetry_Int_Tables_number 1
_cell_length_a 6.0527
_cell_length_b 6.0527
_cell_length_c 6.0527
_cell_angle_alpha 60.00
_cell_angle_beta 60.00
_cell_angle_gamma 60.00
loop_
_symmetry_equiv_pos_as_xyz
'x,y,z'
loop_
_atom_site_label
_atom_site_type_symbol
_atom_site_fract_x
_atom_site_fract_y
_atom_site_fract_z
_atom_site_occupancy
Zn1 Zn 0.0000 0.0000 0.0000 1
In1 In 0.1254 0.6249 0.6249 1
In2 In 0.6249 0.1254 0.6249 1
In3 In 0.6249 0.6249 0.1254 1
In4 In 0.6249 0.6249 0.6249 1
Si1 Si 0.2500 0.2500 0.2500 1
```

Principal peaks in the range 2θ from 10° to 80°, in order of rising 2θ:
| two_theta | I_rel |
| --- | --- |
| 17.9 | 49 |
| 34.8 | 100 |
| 36.4 | 69 |
| 42.2 | 21 |
| 46.2 | 13 |
| 55.8 | 33 |
| 61.3 | 32 |
| 73.4 | 25 |

Computed PXRD pattern of LiHfO for Cu Kα (λ = 1.5418 Å), from DFT lattice parameters and positions (PBE).
No peak broadening, texture or thermal motion is included.

Crystal structure
```
data_LiHfO
_symmetry_space_group_name_H-M 'P 1'
_symmetry_Int_Tables_number 1
_cell_length_a 8.3037
_cell_length_b 8.3037
_cell_length_c 8.3037
_cell_angle_alpha 22.23
_cell_angle_beta 22.23
_cell_angle_gamma 22.23
loop_
_symmetry_equiv_pos_as_xyz
'x,y,z'
loop_
_atom_site_label
_atom_site_type_symbol
_atom_site_fract_x
_atom_site_fract_y
_atom_site_fract_z
_atom_site_occupancy
Li1 Li 0.1960 0.1960 0.1960 1
Li2 Li 0.8040 0.8040 0.8040 1
Hf1 Hf 0.3826 0.3826 0.3826 1
Hf2 Hf 0.6174 0.6174 0.6174 1
O1 O 0.1108 0.1108 0.1108 1
O2 O 0.8892 0.8892 0.8892 1
```

Principal peaks in the range 2θ from 10° to 80°, in order of rising 2θ:
| two_theta | I_rel |
| --- | --- |
| 10.9 | 100 |
| 32.5 | 39 |
| 33.2 | 21 |
| 35.6 | 80 |
| 37.3 | 39 |
| 44.2 | 36 |
| 57.6 | 22 |
| 68.1 | 16 |